The following is a calculated powder diffraction line list of Ta3Se. It was derived from DFT lattice parameters and positions (PBE), using Cu Kα (weighted mean of Kα1 and Kα2).
Kinematic intensities with the Lorentz-polarization factor, no thermal factor.

The 10 most intense peaks (10° ≤ 2θ ≤ 80°), most intense first:
| two_theta | I_rel |
| --- | --- |
| 38.19 | 100 |
| 36.49 | 29 |
| 66.81 | 20 |
| 42.92 | 17 |
| 57.57 | 15 |
| 75.49 | 12 |
| 65.70 | 10 |
| 52.59 | 10 |
| 70.13 | 8 |
| 10.50 | 7 |

Crystal structure
```
data_Ta3Se
_cell_length_a 3.4808
_cell_length_b 4.9242
_cell_length_c 8.4287
_cell_angle_alpha 90.00
_cell_angle_beta 90.00
_cell_angle_gamma 90.00
_space_group_name_H-M_alt 'P 1'
_space_group_IT_number 1
_space_group_name_Hall 'P 1'
loop_
_atom_site_label
_atom_site_type_symbol
_atom_site_fract_x
_atom_site_fract_y
_atom_site_fract_z
_atom_site_occupancy
Ta1 Ta 0.0000 0.0000 0.0000 1
Ta2 Ta 0.0000 0.5000 0.2619 1
Ta3 Ta 0.0000 0.5000 0.7381 1
Ta4 Ta 0.5000 0.0000 0.2619 1
Ta5 Ta 0.5000 0.0000 0.7381 1
Ta6 Ta 0.5000 0.5000 0.0000 1
Se1 Se 0.0000 0.0000 0.5000 1
Se2 Se 0.5000 0.5000 0.5000 1
```

The following is a calculated powder diffraction line list of MgMoWS4. It was derived from DFT lattice parameters and positions (PBE), using Cu Kα (weighted mean of Kα1 and Kα2).
Kinematic intensities with the Lorentz-polarization factor, no thermal factor.

The 10 most intense peaks (10° ≤ 2θ ≤ 80°), most intense first:
| two_theta | I_rel |
| --- | --- |
| 15.46 | 100 |
| 33.56 | 39 |
| 44.46 | 31 |
| 28.31 | 26 |
| 40.75 | 24 |
| 32.76 | 23 |
| 31.22 | 16 |
| 48.18 | 14 |
| 47.61 | 14 |
| 54.02 | 13 |

Crystal structure
```
data_MgMoWS4
_cell_length_a 6.9186
_cell_length_b 6.9186
_cell_length_c 6.9186
_cell_angle_alpha 113.88
_cell_angle_beta 113.78
_cell_angle_gamma 101.06
_space_group_name_H-M_alt 'P 1'
_space_group_IT_number 1
_space_group_name_Hall 'P 1'
loop_
_atom_site_label
_atom_site_type_symbol
_atom_site_fract_x
_atom_site_fract_y
_atom_site_fract_z
_atom_site_occupancy
Mg1 Mg 0.0000 0.0000 0.0000 1
Mg2 Mg 0.6424 0.1424 0.5000 1
Mo1 Mo 0.2704 0.5346 0.7358 1
Mo2 Mo 0.7988 0.5346 0.2642 1
W1 W 0.2369 0.5391 0.3022 1
W2 W 0.2369 0.9347 0.6978 1
S1 S 0.0435 0.2413 0.8023 1
S2 S 0.0703 0.8040 0.2664 1
S3 S 0.4390 0.2413 0.1977 1
S4 S 0.5167 0.3052 0.7885 1
S5 S 0.5167 0.7282 0.2115 1
S6 S 0.5376 0.8040 0.7336 1
S7 S 0.9628 0.2672 0.3043 1
S8 S 0.9628 0.6585 0.6957 1
```